Theoretical X-ray powder pattern of CoH2O2 for Cu Kα (weighted mean of Kα1 and Kα2), from a cell relaxed with PBE+U.
Kinematic intensities with the Lorentz-polarization factor, no thermal factor.

```
data_CoH2O2
_cell_length_a 4.769
_cell_length_b 5.135
_cell_length_c 8.078
_cell_angle_alpha 90.00
_cell_angle_beta 90.00
_cell_angle_gamma 90.00
_space_group_name_H-M_alt 'P 1'
_space_group_IT_number 1
loop_
_space_group_symop_operation_xyz
'x,y,z'
loop_
_atom_site_label
_atom_site_type_symbol
_atom_site_fract_x
_atom_site_fract_y
_atom_site_fract_z
Co1 Co 0.060 0.161 0.128
Co2 Co 0.440 0.839 0.628
Co3 Co 0.560 0.339 0.872
Co4 Co 0.940 0.661 0.372
H1 H 0.118 0.130 0.791
H2 H 0.194 0.409 0.614
H3 H 0.306 0.591 0.114
H4 H 0.382 0.870 0.291
H5 H 0.618 0.370 0.209
H6 H 0.694 0.091 0.386
H7 H 0.806 0.909 0.886
H8 H 0.882 0.630 0.709
O1 O 0.136 0.591 0.581
O2 O 0.208 0.839 0.222
O3 O 0.292 0.161 0.722
O4 O 0.364 0.409 0.081
O5 O 0.636 0.909 0.419
O6 O 0.708 0.661 0.778
O7 O 0.792 0.339 0.278
O8 O 0.864 0.091 0.919
```

Main lines, sorted by position (2θ = 10–80°):
hkl	2θ/deg	I_rel
0 1 1	20.49	100
1 0 1	21.64	75
1 1 1	27.82	50
1 0 2	28.97	40
1 1 2	33.92	63
1 2 0	39.88	33
1 1 3	42.38	25
2 1 1	43.31	23